Structure and theoretical powder diffraction line list of LiCrPO4F (a crystal structure in Alexandria, relaxed with GGA+U; a wavelength of 1.5418 Å).
Intensities are scaled so that the largest is 100.

Structure:
```
LiCrPO4F
1.0
5.1963 0.0000 0.0000
-0.7690 5.2998 0.0000
-2.2957 -2.4775 6.4481
Li Cr P O F
2 2 2 8 2
direct
0.2274 0.3849 0.3102
0.7726 0.6151 0.6898
0.5000 0.0000 0.0000
0.5000 0.0000 0.5000
0.1788 0.3568 0.7383
0.8212 0.6432 0.2617
0.1293 0.7566 0.4199
0.1927 0.6588 0.8426
0.2455 0.2118 0.8937
0.3811 0.3354 0.6156
0.6189 0.6646 0.3844
0.7545 0.7882 0.1063
0.8073 0.3412 0.1574
0.8707 0.2434 0.5801
0.3721 0.0669 0.2362
0.6279 0.9331 0.7638
```

Peak list (6 most intense, 15° ≤ 2θ ≤ 90°, low angle first)
18.52°, I = 35
18.63°, I = 60
26.92°, I = 67
27.07°, I = 100
29.21°, I = 92
36.32°, I = 47



Structure and theoretical powder diffraction line list of PmNdV2O8 (a crystal structure in Alexandria, relaxed with GGA+U; a wavelength of 1.5418 Å).
Intensities are scaled so that the largest is 100.

Structure:
```
PmNdV2O8
1.0
-3.7055 3.7055 3.2422
3.7055 -3.7055 3.2422
3.7055 3.7055 -3.2422
Pm Nd V O
1 1 2 8
direct
0.0000 0.0000 0.0000
0.7500 0.2500 0.5000
0.2500 0.7500 0.5000
0.5000 0.5000 0.0000
0.0790 0.3976 0.3186
0.0790 0.7604 0.6814
0.1474 0.3274 0.8200
0.2396 0.9210 0.3186
0.5074 0.3274 0.1800
0.6024 0.9210 0.6814
0.6726 0.4926 0.8200
0.6726 0.8526 0.1800
```

Peak list (6 most intense, 15° ≤ 2θ ≤ 90°, low angle first)
18.18°, I = 33
24.02°, I = 100
32.47°, I = 68
34.22°, I = 21
47.89°, I = 58
60.17°, I = 17